# 1
Starting from a DFT-relaxed cell (GGA+U, the Materials Project), the X-ray powder pattern of LuMn2O5 was computed for Cu Kα (weighted mean of Kα1 and Kα2).
Lines closer than 0.1° are merged.

Peak list (10 most intense, 10° ≤ 2θ ≤ 90°, sorted by position)
(hkl)	Position (°2θ)	intensity
0 0 1	15.38	43.0
1 2 1	28.93	58.2
2 1 1	31.05	100.0
1 3 0	34.08	32.9
1 1 2	35.17	22.1
2 1 2	41.47	25.3
1 3 2	46.76	15.4
1 4 1	47.41	17.4
2 1 3	55.25	31.4
3 3 2	59.80	16.5

Cell and atoms:
```
data_LuMn2O5
_chemical_formula_sum 'Lu4 Mn8 O20'
_space_group_name_H-M_alt 'P b a m'
_space_group_IT_number 55
_space_group_name_Hall '-P 2 2ab'
_cell_length_a 7.2298
_cell_length_b 8.4731
_cell_length_c 5.7615
_cell_angle_alpha 90.00
_cell_angle_beta 90.00
_cell_angle_gamma 90.00
loop_
_atom_site_label
_atom_site_type_symbol
_atom_site_fract_x
_atom_site_fract_y
_atom_site_fract_z
Lu1 Lu 0.1371 0.1696 0.0000
Mn1 Mn 0.0000 0.5000 0.2520
Mn2 Mn 0.0873 0.8476 0.5000
O1 O 0.0000 0.0000 0.2657
O2 O 0.1112 0.7070 0.2366
O3 O 0.1506 0.4283 0.5000
O4 O 0.1663 0.4399 0.0000
```



# 2
Starting from a DFT-relaxed cell (GGA+U, the Materials Project), the X-ray powder pattern of Li2Co3P4O14 was computed for Cu Kα (weighted mean of Kα1 and Kα2).
Lines closer than 0.1° are merged.

Peak list (10 most intense, 10° ≤ 2θ ≤ 90°, sorted by position)
(hkl)	Position (°2θ)	intensity
0 1 2	17.34	36.2
1 0 -2	21.89	40.1
1 0 -3	25.69	35.9
1 0 4	27.19	59.0
0 2 1	29.30	31.4
1 2 2	29.85	100.0
1 0 -4	30.13	51.4
-1 1 3	31.22	41.1
1 0 5	31.80	82.3
1 3 0	43.18	30.2

Cell and atoms:
```
data_Li2Co3P4O14
_chemical_formula_sum 'Li4 Co6 P8 O28'
_space_group_name_H-M_alt 'P -1'
_space_group_IT_number 2
_space_group_name_Hall '-P 1'
_cell_length_a 5.3030
_cell_length_b 6.4107
_cell_length_c 16.1178
_cell_angle_alpha 81.16
_cell_angle_beta 81.76
_cell_angle_gamma 72.38
loop_
_atom_site_label
_atom_site_type_symbol
_atom_site_fract_x
_atom_site_fract_y
_atom_site_fract_z
Li1 Li 0.0719 0.2284 0.4928
Li2 Li 0.3528 0.6899 0.6191
Co1 Co 0.0435 0.6284 0.3108
Co2 Co 0.1977 0.2792 0.0909
Co3 Co 0.2346 0.9667 0.8359
P1 P 0.1760 0.0981 0.2896
P2 P 0.2941 0.7811 0.0413
P3 P 0.3638 0.4307 0.8196
P4 P 0.4388 0.7528 0.4256
O1 O 0.0158 0.0350 0.7179
O2 O 0.0246 0.3001 0.3364
O3 O 0.1152 0.9861 0.0818
O4 O 0.1614 0.6000 0.0484
O5 O 0.1758 0.6580 0.8389
O6 O 0.2099 0.2924 0.7888
O7 O 0.2575 0.3275 0.5738
O8 O 0.2823 0.8537 0.5051
O9 O 0.3229 0.5771 0.4042
O10 O 0.3455 0.1428 0.2074
O11 O 0.3933 0.5473 0.2368
O12 O 0.3991 0.9549 0.3502
O13 O 0.4135 0.8435 0.9511
O14 O 0.4407 0.3009 0.9104
```



# 3
Starting from a DFT-relaxed cell (GGA+U, the Materials Project), the X-ray powder pattern of Gd2W2O9 was computed for Cu Kα (weighted mean of Kα1 and Kα2).
Lines closer than 0.1° are merged.

Peak list (10 most intense, 10° ≤ 2θ ≤ 90°, sorted by position)
(hkl)	Position (°2θ)	intensity
1 0 2	26.63	100.0
1 2 -2	27.07	83.4
2 1 -2	27.87	70.1
1 3 0	29.87	54.5
2 2 0	30.42	61.4
0 3 2	34.08	20.1
3 1 0	37.93	25.2
1 4 2	45.80	23.6
2 3 2	46.05	32.5
3 2 2	51.51	18.6

Cell and atoms:
```
data_Gd2W2O9
_chemical_formula_sum 'Gd8 W8 O36'
_space_group_name_H-M_alt 'P 1 21/c 1'
_space_group_IT_number 14
_space_group_name_Hall '-P 2ybc'
_cell_length_a 7.7172
_cell_length_b 9.8296
_cell_length_c 9.2845
_cell_angle_alpha 90.00
_cell_angle_beta 108.15
_cell_angle_gamma 90.00
loop_
_atom_site_label
_atom_site_type_symbol
_atom_site_fract_x
_atom_site_fract_y
_atom_site_fract_z
Gd1 Gd 0.2111 0.0500 0.4291
Gd2 Gd 0.2731 0.0560 0.8456
W1 W 0.0744 0.7275 0.4639
W2 W 0.4291 0.7485 0.7628
O1 O 0.0040 0.0938 0.1819
O2 O 0.0588 0.1030 0.6092
O3 O 0.0967 0.2045 0.9330
O4 O 0.2317 0.6352 0.1390
O5 O 0.2414 0.6821 0.8610
O6 O 0.2729 0.6185 0.5802
O7 O 0.3954 0.2183 0.3356
O8 O 0.4431 0.0887 0.6507
O9 O 0.4941 0.1160 0.0937
```



What did the first record say?
Starting from a DFT-relaxed cell (GGA+U, the Materials Project), the X-ray powder pattern of LuMn2O5 was computed for Cu Kα (weighted mean of Kα1 and Kα2).
Lines closer than 0.1° are merged.

Peak list (10 most intense, 10° ≤ 2θ ≤ 90°, sorted by position)
(hkl)	Position (°2θ)	intensity
0 0 1	15.38	43.0
1 2 1	28.93	58.2
2 1 1	31.05	100.0
1 3 0	34.08	32.9
1 1 2	35.17	22.1
2 1 2	41.47	25.3
1 3 2	46.76	15.4
1 4 1	47.41	17.4
2 1 3	55.25	31.4
3 3 2	59.80	16.5

Cell and atoms:
```
data_LuMn2O5
_chemical_formula_sum 'Lu4 Mn8 O20'
_space_group_name_H-M_alt 'P b a m'
_space_group_IT_number 55
_space_group_name_Hall '-P 2 2ab'
_cell_length_a 7.2298
_cell_length_b 8.4731
_cell_length_c 5.7615
_cell_angle_alpha 90.00
_cell_angle_beta 90.00
_cell_angle_gamma 90.00
loop_
_atom_site_label
_atom_site_type_symbol
_atom_site_fract_x
_atom_site_fract_y
_atom_site_fract_z
Lu1 Lu 0.1371 0.1696 0.0000
Mn1 Mn 0.0000 0.5000 0.2520
Mn2 Mn 0.0873 0.8476 0.5000
O1 O 0.0000 0.0000 0.2657
O2 O 0.1112 0.7070 0.2366
O3 O 0.1506 0.4283 0.5000
O4 O 0.1663 0.4399 0.0000
```